No. 1
# CsSrNpF6
Computed X-ray powder pattern, Cu Kα (λ = 1.5418 Å). Input: a cell relaxed with GGA-PBE.

```
data_CsSrNpF6
_cell_length_a 6.6007
_cell_length_b 6.6007
_cell_length_c 11.5722
_cell_angle_alpha 90.00
_cell_angle_beta 90.00
_cell_angle_gamma 120.00
_space_group_name_H-M_alt 'P -3 1 c'
_space_group_IT_number 163
_space_group_name_Hall '-P 3 2c'
loop_
_atom_site_label
_atom_site_type_symbol
_atom_site_fract_x
_atom_site_fract_y
_atom_site_fract_z
_atom_site_occupancy
Cs1 Cs 0.0000 0.0000 0.0000 1
Sr1 Sr 0.3333 0.6667 0.2500 1
Np1 Np 0.3333 0.6667 0.7500 1
F1 F 0.0155 0.3914 0.6471 1
```

Most intense lines, 2θ from 5° to 70°, by intensity:
(hkl), two_theta, d (Å), I_rel
1 0 2, 21.9, 4.067, 100
1 1 4, 41.5, 2.176, 53
1 1 0, 27.0, 3.300, 52
1 0 1, 17.3, 5.125, 31
2 1 2, 44.8, 2.024, 30
2 0 2, 35.0, 2.563, 26
0 0 2, 15.3, 5.786, 21
3 0 0, 47.7, 1.905, 20
1 1 2, 31.2, 2.867, 18
4 -1 2, 60.6, 1.529, 13

=====

No. 2
# Cs2NpZn3F12
Computed X-ray powder pattern, Cu Kα (λ = 1.5418 Å). Input: a cell relaxed with GGA-PBE.

```
data_Cs2NpZn3F12
_cell_length_a 7.5654
_cell_length_b 7.5654
_cell_length_c 20.1068
_cell_angle_alpha 90.00
_cell_angle_beta 90.00
_cell_angle_gamma 120.00
_space_group_name_H-M_alt 'R -3 m'
_space_group_IT_number 166
_space_group_name_Hall '-R 3 2"'
loop_
_atom_site_label
_atom_site_type_symbol
_atom_site_fract_x
_atom_site_fract_y
_atom_site_fract_z
_atom_site_occupancy
Cs1 Cs 0.0000 0.0000 0.0986 1
Np1 Np 0.0000 0.0000 0.5000 1
Zn1 Zn 0.0000 0.5000 0.0000 1
F1 F 0.0524 0.5262 0.1092 1
F2 F 0.0718 0.5359 0.3441 1
```

Most intense lines, 2θ from 5° to 70°, by intensity:
(hkl), two_theta, d (Å), I_rel
0 1 5, 26.0, 3.427, 100
1 1 3, 27.1, 3.294, 86
2 0 2, 28.7, 3.115, 66
0 1 2, 16.1, 5.489, 58
1 1 0, 23.5, 3.783, 54
2 2 0, 48.1, 1.891, 42
1 2 5, 42.9, 2.109, 35
3 0 3, 43.6, 2.076, 27
1 0 1, 14.2, 6.229, 27
3 1 5, 55.5, 1.656, 27